This entry pairs a crystal structure of AgSb2Cl2 with its theoretical powder diffractogram. Radiation: copper Kα. Structure: DFT lattice parameters and positions (GGA-PBE).
Neutral-atom scattering factors, no anomalous dispersion.

Atomic structure:
Cell lengths 7.2892, 7.2892, 5.3203 Å; angles 90.00, 90.00, 90.00 degrees
Space group P4/mbm (No. 127)
Symmetry-distinct sites (fractional):
1 Ag 0.0000 0.0000 0.0000 [2 per cell]
2 Sb 0.1450 0.3550 0.0000 [4 per cell]
3 Cl 0.1755 0.3245 0.5000 [4 per cell]

The 6 most intense peaks (2θ from 15° to 90°), by intensity:
d/Å, 2θ (°), intensity, h k l
5.320, 16.66, 100, 0 0 1
3.260, 27.36, 90, 2 1 0
2.061, 43.93, 48, 2 1 2
2.305, 39.08, 48, 3 1 0
2.115, 42.75, 45, 3 1 1
2.660, 33.69, 42, 0 0 2



This entry pairs a crystal structure of TlHRuF6 with its theoretical powder diffractogram. Radiation: copper Kα. Structure: DFT lattice parameters and positions (GGA-PBE).
Neutral-atom scattering factors, no anomalous dispersion.

Atomic structure:
Cell lengths 5.1794, 5.4860, 5.8994 Å; angles 81.67, 83.88, 62.41 degrees
Space group P1 (No. 1)
Symmetry-distinct sites (fractional):
1 Tl 0.0000 0.0000 0.0000 [1 per cell]
2 H 0.5586 0.1376 0.5211 [1 per cell]
3 Ru 0.5685 0.6325 0.5212 [1 per cell]
4 F 0.1678 0.8543 0.4567 [1 per cell]
5 F 0.4538 0.5083 0.8270 [1 per cell]
6 F 0.5636 0.9563 0.6515 [1 per cell]
7 F 0.5652 0.3124 0.3914 [1 per cell]
8 F 0.6747 0.7590 0.2128 [1 per cell]
9 F 0.9635 0.4131 0.5904 [1 per cell]

The 6 most intense peaks (2θ from 15° to 90°), by intensity:
d/Å, 2θ (°), intensity, h k l
3.533, 25.21, 100, 1 0 -1
4.504, 19.71, 82, 1 1 0
3.686, 24.14, 69, 1 0 1
3.937, 22.59, 69, 0 1 1
2.916, 30.66, 38, 0 0 2
3.845, 23.13, 37, 1 1 1



This entry pairs a crystal structure of Cs2Hg4Pd with its theoretical powder diffractogram. Radiation: copper Kα. Structure: DFT lattice parameters and positions (GGA-PBE).
Neutral-atom scattering factors, no anomalous dispersion.

Atomic structure:
Cell lengths 5.5314, 17.0009, 5.4527 Å; angles 90.00, 90.00, 90.00 degrees
Space group Cmmm (No. 65)
Symmetry-distinct sites (fractional):
1 Cs 0.0000 0.1502 0.0000 [4 per cell]
2 Hg 0.0000 0.0000 0.5000 [2 per cell]
3 Hg 0.0000 0.3343 0.5000 [4 per cell]
4 Hg 0.0000 0.5000 0.0000 [2 per cell]
5 Pd 0.0000 0.5000 0.5000 [2 per cell]

The 6 most intense peaks (2θ from 15° to 90°), by intensity:
d/Å, 2θ (°), intensity, h k l
3.203, 27.85, 100, 1 3 1
2.766, 32.37, 26, 2 0 0
2.833, 31.58, 26, 0 6 0
2.726, 32.85, 25, 0 0 2
1.942, 46.79, 19, 2 0 2
1.602, 57.54, 19, 2 6 2



This entry pairs a crystal structure of PmGeSbRh2 with its theoretical powder diffractogram. Radiation: copper Kα. Structure: DFT lattice parameters and positions (GGA-PBE).
Neutral-atom scattering factors, no anomalous dispersion.

Atomic structure:
Cell lengths 4.1491, 4.1491, 7.1351 Å; angles 90.00, 90.00, 90.00 degrees
Space group P4mm (No. 99)
Symmetry-distinct sites (fractional):
1 Pm 0.0000 0.0000 0.0000 [1 per cell]
2 Ge 0.5000 0.5000 0.1329 [1 per cell]
3 Sb 0.0000 0.0000 0.5543 [1 per cell]
4 Rh 0.0000 0.5000 0.3223 [2 per cell]

The 6 most intense peaks (2θ from 15° to 90°), by intensity:
d/Å, 2θ (°), intensity, h k l
2.266, 39.78, 100, 1 1 2
2.075, 43.63, 51, 2 0 0
2.713, 33.01, 44, 1 1 1
2.705, 33.12, 44, 1 0 2
4.149, 21.42, 40, 1 0 0
1.231, 77.52, 28, 3 1 2



This entry pairs a crystal structure of Cu2SnHPt with its theoretical powder diffractogram. Radiation: copper Kα. Structure: DFT lattice parameters and positions (GGA-PBE).
Neutral-atom scattering factors, no anomalous dispersion.

Atomic structure:
Cell lengths 4.0722, 4.0722, 3.8945 Å; angles 90.00, 90.00, 90.00 degrees
Space group P4/mmm (No. 123)
Symmetry-distinct sites (fractional):
1 Cu 0.0000 0.5000 0.0000 [2 per cell]
2 Sn 0.0000 0.0000 0.5000 [1 per cell]
3 H 0.5000 0.5000 0.0000 [1 per cell]
4 Pt 0.5000 0.5000 0.5000 [1 per cell]

The 6 most intense peaks (2θ from 15° to 90°), by intensity:
d/Å, 2θ (°), intensity, h k l
2.315, 38.90, 100, 1 1 1
2.036, 44.50, 35, 2 0 0
1.223, 78.18, 26, 3 1 1
1.407, 66.43, 21, 2 0 2
1.947, 46.64, 15, 0 0 2
3.895, 22.83, 14, 0 0 1



This entry pairs a crystal structure of Nd6AlAg5 with its theoretical powder diffractogram. Radiation: copper Kα. Structure: DFT lattice parameters and positions (GGA-PBE).
Neutral-atom scattering factors, no anomalous dispersion.

Atomic structure:
Cell lengths 5.2989, 7.5494, 8.3810 Å; angles 90.00, 108.33, 90.00 degrees
Space group P2/m (No. 10)
Symmetry-distinct sites (fractional):
1 Nd 0.0000 0.2476 0.0000 [2 per cell]
2 Nd 0.3343 0.2522 0.6665 [4 per cell]
3 Al 0.5000 0.5000 0.0000 [1 per cell]
4 Ag 0.1576 0.5000 0.3197 [2 per cell]
5 Ag 0.1662 0.0000 0.3354 [2 per cell]
6 Ag 0.5000 0.0000 0.0000 [1 per cell]

The 6 most intense peaks (2θ from 15° to 90°), by intensity:
d/Å, 2θ (°), intensity, h k l
2.660, 33.70, 100, 1 2 1
2.651, 33.82, 49, 2 0 -1
1.533, 60.40, 27, 3 2 0
1.537, 60.19, 18, 2 4 -1
1.874, 48.57, 17, 2 0 -4
1.330, 70.85, 11, 2 4 -4